Entry 1:
Theoretical PXRD pattern
Compound: PBr5
Radiation: CuKα
Structure: a cell relaxed with PBE

```
PBr5
1.0
6.1044 0.0000 0.0000
0.0000 18.2182 0.0000
0.0000 0.0000 8.5948
P Br
4 20
Direct
0.0464 0.1356 0.2500 P
0.0464 0.3644 0.7500 P
0.9536 0.6356 0.2500 P
0.9536 0.8644 0.7500 P
0.1619 0.6355 0.0382 Br
0.1619 0.6355 0.4618 Br
0.1619 0.8645 0.5382 Br
0.1619 0.8645 0.9618 Br
0.2448 0.0344 0.2500 Br
0.2448 0.4656 0.7500 Br
0.2626 0.2333 0.2500 Br
0.2626 0.2667 0.7500 Br
0.4496 0.6266 0.7500 Br
0.4496 0.8734 0.2500 Br
0.5504 0.1266 0.7500 Br
0.5504 0.3734 0.2500 Br
0.7374 0.7333 0.2500 Br
0.7374 0.7667 0.7500 Br
0.7552 0.5344 0.2500 Br
0.7552 0.9656 0.7500 Br
0.8381 0.1355 0.0382 Br
0.8381 0.1355 0.4618 Br
0.8381 0.3645 0.5382 Br
0.8381 0.3645 0.9618 Br
```

The 8 most intense peaks (2θ = 10–90°), by angle:
2θ 18.48, intensity 47
2θ 19.49, intensity 26
2θ 20.33, intensity 76
2θ 20.65, intensity 50
2θ 25.82, intensity 83
2θ 28.54, intensity 100
2θ 34.94, intensity 34
2θ 41.35, intensity 55

=====

Entry 2:
Theoretical PXRD pattern
Compound: P3Br
Radiation: CuKα
Structure: a cell relaxed with PBE

```
P3Br
1.0
4.5841 0.0000 0.0000
0.0000 3.4721 0.0000
-1.4906 0.0000 5.0908
P Br
3 1
Direct
0.0000 0.0000 0.0000 P
0.3775 0.5000 0.1408 P
0.6225 0.5000 0.8592 P
0.0000 0.0000 0.5000 Br
```

The 8 most intense peaks (2θ = 10–90°), by angle:
2θ 20.18, intensity 32
2θ 30.36, intensity 32
2θ 31.18, intensity 38
2θ 32.86, intensity 100
2θ 35.43, intensity 44
2θ 44.11, intensity 27
2θ 53.35, intensity 20
2θ 53.73, intensity 28

=====

Entry 3:
Theoretical PXRD pattern
Compound: PBr3
Radiation: CuKα
Structure: a cell relaxed with PBE

```
PBr3
1.0
5.0346 0.0000 0.0000
0.0000 10.1479 0.0000
0.0000 0.0000 7.8477
P Br
2 6
Direct
0.2500 0.2500 0.1466 P
0.7500 0.7500 0.8534 P
0.2500 0.0780 0.3235 Br
0.2500 0.4220 0.3235 Br
0.2500 0.7500 0.9298 Br
0.7500 0.2500 0.0702 Br
0.7500 0.5780 0.6765 Br
0.7500 0.9220 0.6765 Br
```

The 8 most intense peaks (2θ = 10–90°), by angle:
2θ 14.27, intensity 100
2θ 20.85, intensity 44
2θ 20.96, intensity 45
2θ 22.73, intensity 34
2θ 28.85, intensity 29
2θ 31.87, intensity 37
2θ 35.02, intensity 31
2θ 35.67, intensity 23

=====

Entry 4:
Theoretical PXRD pattern
Compound: PaPS4Br
Radiation: CuKα
Structure: a cell relaxed with PBE

```
PaPS4Br
1.0
5.6538 -4.2258 0.0000
5.6538 4.2258 0.0000
-2.2357 0.0000 7.6320
Pa P S Br
2 2 8 2
Direct
0.2239 0.2239 0.1141 Pa
0.7761 0.7761 0.8859 Pa
0.3627 0.3627 0.7137 P
0.6373 0.6373 0.2863 P
0.1354 0.4929 0.8853 S
0.2328 0.2328 0.4780 S
0.4597 0.4597 0.3029 S
0.4929 0.1354 0.8853 S
0.5071 0.8646 0.1147 S
0.5403 0.5403 0.6971 S
0.7672 0.7672 0.5220 S
0.8646 0.5071 0.1147 S
0.0188 0.0188 0.7974 Br
0.9812 0.9812 0.2026 Br
```

The 8 most intense peaks (2θ = 10–90°), by angle:
2θ 11.59, intensity 100
2θ 16.07, intensity 68
2θ 16.34, intensity 46
2θ 21.02, intensity 98
2θ 22.62, intensity 31
2θ 30.76, intensity 48
2θ 40.06, intensity 28
2θ 50.80, intensity 30

=====

Entry 5:
Theoretical PXRD pattern
Compound: PPb3Br3
Radiation: CuKα
Structure: a cell relaxed with PBE

```
PPb3Br3
1.0
8.9249 0.0000 0.0000
0.0000 4.3531 0.0000
-0.7854 0.0000 12.4294
P Pb Br
2 6 6
Direct
0.1304 0.2500 0.1274 P
0.8696 0.7500 0.8726 P
0.0919 0.2500 0.8907 Pb
0.1365 0.2500 0.3629 Pb
0.3510 0.7500 0.1291 Pb
0.6490 0.2500 0.8709 Pb
0.8635 0.7500 0.6371 Pb
0.9081 0.7500 0.1093 Pb
0.1067 0.2500 0.6307 Br
0.3660 0.7500 0.8807 Br
0.3776 0.7500 0.3746 Br
0.6224 0.2500 0.6254 Br
0.6340 0.2500 0.1193 Br
0.8933 0.7500 0.3693 Br
```

The 8 most intense peaks (2θ = 10–90°), by angle:
2θ 12.59, intensity 13
2θ 24.97, intensity 13
2θ 28.69, intensity 100
2θ 40.09, intensity 23
2θ 40.51, intensity 11
2θ 41.49, intensity 13
2θ 41.98, intensity 25
2θ 51.25, intensity 14

=====

Entry 6:
Theoretical PXRD pattern
Compound: Rb2PPdBr6
Radiation: CuKα
Structure: a cell relaxed with PBE

```
Rb2PPdBr6
1.0
-3.7505 3.7505 5.2856
3.7505 -3.7505 5.2856
3.7505 3.7505 -5.2856
Rb P Pd Br
2 1 1 6
Direct
0.2500 0.7500 0.5000 Rb
0.7500 0.2500 0.5000 Rb
0.0000 0.0000 0.0000 P
0.5000 0.5000 0.0000 Pd
0.2466 0.2466 0.0000 Br
0.2468 0.2468 0.4936 Br
0.2468 0.7532 0.0000 Br
0.7532 0.2468 0.0000 Br
0.7534 0.7534 0.0000 Br
0.7532 0.7532 0.5064 Br
```

The 8 most intense peaks (2θ = 10–90°), by angle:
2θ 23.75, intensity 20
2θ 29.20, intensity 100
2θ 33.80, intensity 79
2θ 33.92, intensity 39
2θ 48.61, intensity 82
2θ 57.66, intensity 28
2θ 60.54, intensity 28
2θ 81.12, intensity 24

=====

Entry 7:
Theoretical PXRD pattern
Compound: Pm6P3Br2
Radiation: CuKα
Structure: a cell relaxed with PBE

```
Pm6P3Br2
1.0
3.5751 -6.1789 0.0000
3.5751 6.1789 0.0000
-2.3952 0.0000 6.9385
Pm P Br
6 3 2
Direct
0.0927 0.4206 0.7802 Pm
0.2329 0.2329 0.2134 Pm
0.4206 0.0927 0.7802 Pm
0.5794 0.9073 0.2198 Pm
0.7671 0.7671 0.7866 Pm
0.9073 0.5794 0.2198 Pm
0.1709 0.8291 0.0000 P
0.5000 0.5000 0.0000 P
0.8291 0.1709 0.0000 P
0.3349 0.6651 0.5000 Br
0.6651 0.3349 0.5000 Br
```

The 8 most intense peaks (2θ = 10–90°), by angle:
2θ 25.68, intensity 13
2θ 26.39, intensity 44
2θ 30.36, intensity 100
2θ 33.05, intensity 9
2θ 43.01, intensity 32
2θ 43.91, intensity 38
2θ 54.32, intensity 19
2θ 72.37, intensity 11

=====

Entry 8:
Theoretical PXRD pattern
Compound: Pr4P3Br
Radiation: CuKα
Structure: a cell relaxed with PBE

```
Pr4P3Br
1.0
4.2666 -5.9825 0.0000
4.2666 5.9825 0.0000
0.0000 0.0000 4.1995
Pr P Br
4 3 1
Direct
0.2267 0.2267 0.5000 Pr
0.2399 0.7601 0.0000 Pr
0.7601 0.2399 0.0000 Pr
0.7733 0.7733 0.5000 Pr
0.0000 0.0000 0.0000 P
0.0000 0.5000 0.5000 P
0.5000 0.0000 0.5000 P
0.5000 0.5000 0.0000 Br
```

The 8 most intense peaks (2θ = 10–90°), by angle:
2θ 25.64, intensity 26
2θ 25.92, intensity 26
2θ 29.86, intensity 100
2θ 42.74, intensity 48
2θ 43.08, intensity 12
2θ 52.70, intensity 12
2θ 53.30, intensity 13
2θ 70.36, intensity 20

=====

Entry 9:
Theoretical PXRD pattern
Compound: Pr4P2Br5
Radiation: CuKα
Structure: a cell relaxed with PBE

```
Pr4P2Br5
1.0
-2.4191 6.0855 7.4091
2.4191 -6.0855 7.4091
2.4191 6.0855 -7.4091
Pr P Br
4 2 5
Direct
0.1764 0.1764 0.0000 Pr
0.3544 0.5000 0.8544 Pr
0.6456 0.5000 0.1456 Pr
0.8236 0.8236 0.0000 Pr
0.3477 0.3477 0.0000 P
0.6523 0.6523 0.0000 P
0.0203 0.3667 0.6536 Br
0.2869 0.6333 0.6536 Br
0.5000 0.0000 0.5000 Br
0.7131 0.3667 0.3464 Br
0.9797 0.6333 0.3464 Br
```

The 8 most intense peaks (2θ = 10–90°), by angle:
2θ 19.37, intensity 100
2θ 24.26, intensity 24
2θ 31.21, intensity 42
2θ 35.37, intensity 30
2θ 36.38, intensity 12
2θ 37.17, intensity 20
2θ 37.78, intensity 44
2θ 42.26, intensity 21

=====

Entry 10:
Theoretical PXRD pattern
Compound: Pr4PSeBr2
Radiation: CuKα
Structure: a cell relaxed with PBE

```
Pr4PSeBr2
1.0
7.4483 0.0000 0.0000
0.0000 4.2421 0.0000
-2.4322 0.0000 7.2118
Pr P Se Br
4 1 1 2
Direct
0.2227 0.0000 0.2055 Pr
0.2487 0.5000 0.7923 Pr
0.7513 0.5000 0.2077 Pr
0.7773 0.0000 0.7945 Pr
0.0000 0.5000 0.0000 P
0.5000 0.0000 0.0000 Se
0.0000 0.0000 0.5000 Br
0.5000 0.5000 0.5000 Br
```

The 8 most intense peaks (2θ = 10–90°), by angle:
2θ 25.56, intensity 11
2θ 29.25, intensity 100
2θ 41.11, intensity 10
2θ 41.48, intensity 19
2θ 42.17, intensity 26
2θ 42.63, intensity 13
2θ 52.50, intensity 14
2θ 69.22, intensity 10

=====

Entry 11:
Theoretical PXRD pattern
Compound: Pr4TePBr2
Radiation: CuKα
Structure: a cell relaxed with PBE

```
Pr4TePBr2
1.0
7.5400 0.0000 0.0000
0.0000 4.2961 0.0000
-2.5384 0.0000 7.3867
Pr Te P Br
4 1 1 2
Direct
0.2124 0.0000 0.2087 Pr
0.2253 0.5000 0.7812 Pr
0.7747 0.5000 0.2188 Pr
0.7876 0.0000 0.7913 Pr
0.0000 0.0000 0.5000 Te
0.0000 0.5000 0.0000 P
0.5000 0.0000 0.0000 Br
0.5000 0.5000 0.5000 Br
```

The 8 most intense peaks (2θ = 10–90°), by angle:
2θ 25.16, intensity 10
2θ 28.59, intensity 47
2θ 28.86, intensity 100
2θ 31.30, intensity 11
2θ 40.51, intensity 48
2θ 41.63, intensity 32
2θ 42.06, intensity 19
2θ 51.65, intensity 18

=====

Entry 12:
Theoretical PXRD pattern
Compound: PPtBr
Radiation: CuKα
Structure: a cell relaxed with PBE

```
PPtBr
1.0
3.5318 0.0000 0.0000
-1.7659 3.0586 0.0000
0.0000 0.0000 6.8231
P Pt Br
1 1 1
Direct
0.0000 0.0000 0.0000 P
0.3333 0.6667 0.1808 Pt
0.6667 0.3333 0.4437 Br
```

The 8 most intense peaks (2θ = 10–90°), by angle:
2θ 12.98, intensity 100
2θ 29.20, intensity 21
2θ 32.07, intensity 77
2θ 39.58, intensity 65
2θ 49.97, intensity 23
2θ 51.77, intensity 20
2θ 53.61, intensity 17
2θ 67.08, intensity 20

=====

Entry 13:
Theoretical PXRD pattern
Compound: Pu3P2Br
Radiation: CuKα
Structure: a cell relaxed with PBE

```
Pu3P2Br
1.0
4.0227 0.0000 0.0000
-2.0114 3.4838 0.0000
0.0000 0.0000 21.1457
Pu P Br
6 4 2
Direct
0.0000 0.0000 0.0000 Pu
0.0000 0.0000 0.5000 Pu
0.3333 0.6667 0.1499 Pu
0.3333 0.6667 0.3501 Pu
0.6667 0.3333 0.6499 Pu
0.6667 0.3333 0.8501 Pu
0.3333 0.6667 0.5786 P
0.3333 0.6667 0.9214 P
0.6667 0.3333 0.0786 P
0.6667 0.3333 0.4214 P
0.0000 0.0000 0.2500 Br
0.0000 0.0000 0.7500 Br
```

The 8 most intense peaks (2θ = 10–90°), by angle:
2θ 25.27, intensity 22
2θ 25.92, intensity 51
2θ 26.95, intensity 22
2θ 30.74, intensity 100
2θ 33.32, intensity 58
2θ 45.07, intensity 47
2θ 52.37, intensity 20
2θ 55.55, intensity 19

=====

Entry 14:
Theoretical PXRD pattern
Compound: P2RhBr
Radiation: CuKα
Structure: a cell relaxed with PBE

```
P2RhBr
1.0
3.5128 -1.7757 0.0000
3.5128 1.7757 0.0000
-2.4634 0.0000 6.7948
P Rh Br
2 1 1
Direct
0.1431 0.1431 0.3658 P
0.8569 0.8569 0.6342 P
0.5000 0.5000 0.5000 Rh
0.0000 0.0000 0.0000 Br
```

The 8 most intense peaks (2θ = 10–90°), by angle:
2θ 13.03, intensity 42
2θ 26.23, intensity 56
2θ 27.00, intensity 48
2θ 29.45, intensity 100
2θ 33.41, intensity 29
2θ 45.50, intensity 45
2θ 46.45, intensity 41
2θ 53.69, intensity 28